Record 1
Computed powder XRD pattern of TaOsPt3 for CuKα, from a cell relaxed with PBE.
Kinematic intensities with the Lorentz-polarization factor, no thermal factor.

Principal peaks in the range 2θ = 15–90°, sorted by position:
Position (°2θ), I/Imax
30.92, 77
36.80, 85
38.36, 65
40.65, 73
40.97, 62
42.66, 100
47.29, 31
47.40, 30
60.47, 43
85.37, 30

a b c (Å): 5.138 7.625 8.812
angles (deg): 90.00 90.00 90.00
Space group Imma (No. 74)
One atom of each set of equivalent atoms:
Ta  0.000  0.000  0.000 [4 per cell]
Os  0.000  0.250  0.499 [4 per cell]
Pt  0.000  0.250  0.805 [4 per cell]
Pt  0.250  0.082  0.250 [8 per cell]



Record 2
Computed powder XRD pattern of OsPt2W for CuKα, from a cell relaxed with PBE.
Kinematic intensities with the Lorentz-polarization factor, no thermal factor.

Principal peaks in the range 2θ = 15–90°, sorted by position:
Position (°2θ), I/Imax
37.18, 23
37.48, 12
40.21, 39
42.47, 100
42.73, 47
55.91, 14
67.42, 17
74.63, 19
81.51, 20
82.65, 14

a b c (Å): 4.486 9.599 5.599
angles (deg): 90.00 90.00 90.00
Space group Ama2 (No. 40)
One atom of each set of equivalent atoms:
Os  0.250  0.079  0.000 [4 per cell]
Pt  0.250  0.088  0.494 [4 per cell]
Pt  0.250  0.332  0.254 [4 per cell]
W  0.250  0.338  0.746 [4 per cell]



Record 3
Computed powder XRD pattern of TbPuOs for CuKα, from a cell relaxed with PBE.
Kinematic intensities with the Lorentz-polarization factor, no thermal factor.

Principal peaks in the range 2θ = 15–90°, sorted by position:
Position (°2θ), I/Imax
23.24, 29
26.90, 16
38.41, 100
45.38, 15
55.45, 18
60.92, 7
62.68, 6
69.47, 36
82.28, 12
86.96, 5

a b c (Å): 6.628 6.628 6.628
angles (deg): 90.00 90.00 90.00
Space group F-43m (No. 216)
One atom of each set of equivalent atoms:
Tb  0.000  0.000  0.000 [4 per cell]
Pu  0.000  0.000  0.500 [4 per cell]
Os  0.250  0.250  0.750 [4 per cell]



Record 4
Computed powder XRD pattern of Rb2OsSe2S for CuKα, from a cell relaxed with PBE.
Kinematic intensities with the Lorentz-polarization factor, no thermal factor.

Principal peaks in the range 2θ = 15–90°, sorted by position:
Position (°2θ), I/Imax
15.57, 86
24.83, 36
25.35, 100
26.61, 49
26.99, 39
31.36, 20
33.30, 20
37.07, 33
43.40, 25
50.93, 23

a b c (Å): 13.745 7.027 9.934
angles (deg): 90.00 122.61 90.00
Space group C2/m (No. 12)
One atom of each set of equivalent atoms:
Rb  0.087  0.000  0.364 [4 per cell]
Rb  0.191  0.500  0.813 [4 per cell]
Os  0.100  0.500  0.154 [4 per cell]
Se  0.116  0.500  0.405 [4 per cell]
Se  0.203  0.000  0.771 [4 per cell]
S  0.000  0.249  0.000 [4 per cell]



Record 5
Computed powder XRD pattern of Rb2Sb2Os for CuKα, from a cell relaxed with PBE.
Kinematic intensities with the Lorentz-polarization factor, no thermal factor.

Principal peaks in the range 2θ = 15–90°, sorted by position:
Position (°2θ), I/Imax
25.47, 62
30.06, 44
30.74, 100
32.84, 46
37.00, 35
37.90, 41
40.95, 37
45.65, 34
46.38, 39
48.77, 34

a b c (Å): 7.359 16.247 5.851
angles (deg): 90.00 90.00 90.00
Space group Cmcm (No. 63)
One atom of each set of equivalent atoms:
Rb  0.000  0.092  0.250 [4 per cell]
Rb  0.000  0.292  0.750 [4 per cell]
Sb  0.212  0.401  0.250 [8 per cell]
Os  0.000  0.500  0.000 [4 per cell]



Record 6
Computed powder XRD pattern of Re2Os for CuKα, from a cell relaxed with PBE.
Kinematic intensities with the Lorentz-polarization factor, no thermal factor.

Principal peaks in the range 2θ = 15–90°, sorted by position:
Position (°2θ), I/Imax
21.45, 5
35.38, 27
41.74, 100
43.69, 40
50.89, 5
63.50, 10
67.86, 32
74.84, 28
85.59, 5
89.56, 12

a b c (Å): 7.177 7.177 7.177
angles (deg): 90.00 90.00 90.00
Space group Fd-3m (No. 227, origin choice 2)
One atom of each set of equivalent atoms:
Re  0.000  0.000  0.000 [16 per cell]
Os  0.125  0.125  0.625 [8 per cell]



Record 7
Computed powder XRD pattern of Re2SnOs for CuKα, from a cell relaxed with PBE.
Kinematic intensities with the Lorentz-polarization factor, no thermal factor.

Principal peaks in the range 2θ = 15–90°, sorted by position:
Position (°2θ), I/Imax
24.28, 2
28.11, 1
40.17, 100
47.49, 1
58.11, 17
73.00, 35
86.76, 12

a b c (Å): 6.349 6.349 6.349
angles (deg): 90.00 90.00 90.00
Space group F-43m (No. 216)
One atom of each set of equivalent atoms:
Re  0.000  0.000  0.000 [4 per cell]
Re  0.250  0.250  0.250 [4 per cell]
Sn  0.000  0.000  0.500 [4 per cell]
Os  0.250  0.250  0.750 [4 per cell]



Record 8
Computed powder XRD pattern of Re2Sn3Os2 for CuKα, from a cell relaxed with PBE.
Kinematic intensities with the Lorentz-polarization factor, no thermal factor.

Principal peaks in the range 2θ = 15–90°, sorted by position:
Position (°2θ), I/Imax
23.22, 7
27.99, 30
39.84, 98
40.17, 100
57.86, 34
72.10, 15
72.77, 34
72.99, 18
85.90, 10
86.75, 12

a b c (Å): 4.4900 4.4900 22.2608
angles (deg): 90.00 90.00 120.00
Space group R3m (No. 160, hexagonal axes)
One atom of each set of equivalent atoms:
Re  0.0000  0.0000  0.0000 [3 per cell]
Re  0.0000  0.0000  0.5000 [3 per cell]
Sn  0.0000  0.0000  0.1238 [3 per cell]
Sn  0.0000  0.0000  0.3672 [3 per cell]
Sn  0.0000  0.0000  0.8812 [3 per cell]
Os  0.0000  0.0000  0.2463 [3 per cell]
Os  0.0000  0.0000  0.7549 [3 per cell]